# 1
# GdCu6
Calculated XRD peak list, Cu Ka. Input: a PBE-relaxed structure.
Intensities are scaled so that the largest is 100.

Cell and atoms:
Cell lengths 8.0087, 5.0776, 10.0572 Å; angles 90.00, 90.00, 90.00 degrees
Fractional coordinates of all 28 atoms:
Gd: 0.2411 0.2500 0.0642
Gd: 0.2589 0.7500 0.5642
Gd: 0.7411 0.2500 0.4358
Gd: 0.7589 0.7500 0.9358
Cu: 0.0650 0.7500 0.0942
Cu: 0.0656 0.0067 0.3088
Cu: 0.0656 0.4933 0.3088
Cu: 0.1002 0.2500 0.5176
Cu: 0.1465 0.7500 0.8555
Cu: 0.1822 0.2500 0.7568
Cu: 0.3178 0.7500 0.2568
Cu: 0.3535 0.2500 0.3555
Cu: 0.3998 0.7500 0.0176
Cu: 0.4344 0.5067 0.8088
Cu: 0.4344 0.9933 0.8088
Cu: 0.4350 0.2500 0.5942
Cu: 0.5650 0.7500 0.4058
Cu: 0.5656 0.0067 0.1912
Cu: 0.5656 0.4933 0.1912
Cu: 0.6002 0.2500 0.9824
Cu: 0.6465 0.7500 0.6445
Cu: 0.6822 0.2500 0.7432
Cu: 0.8178 0.7500 0.2432
Cu: 0.8535 0.2500 0.1445
Cu: 0.8998 0.7500 0.4824
Cu: 0.9344 0.5067 0.6912
Cu: 0.9344 0.9933 0.6912
Cu: 0.9350 0.2500 0.9058

Principal peaks in the range 10 to 90 degrees two-theta, in order of rising 2θ:
2.798 Å, intensity 25
2.539 Å, intensity 37
2.399 Å, intensity 58
2.356 Å, intensity 23
2.300 Å, intensity 100
2.293 Å, intensity 81
2.266 Å, intensity 29
2.144 Å, intensity 31
2.097 Å, intensity 28
1.963 Å, intensity 94
1.951 Å, intensity 22
1.414 Å, intensity 35

***

# 2
# MgBeB
Calculated XRD peak list, Cu Ka. Input: a PBE-relaxed structure.
Intensities are scaled so that the largest is 100.

Cell and atoms:
Cell lengths 5.3763, 5.3763, 5.3763 Å; angles 145.82, 130.01, 61.95 degrees
Fractional coordinates of all 6 atoms:
Mg: 0.2018 0.2018 0.0000
Mg: 0.7982 0.7982 0.0000
Be: 0.2711 0.5000 0.7711
Be: 0.7289 0.5000 0.2289
B: 0.4105 0.9105 0.5000
B: 0.5895 0.0895 0.5000

Principal peaks in the range 10 to 90 degrees two-theta, in order of rising 2θ:
4.610 Å, intensity 29
2.594 Å, intensity 46
2.545 Å, intensity 52
2.272 Å, intensity 35
2.261 Å, intensity 100
2.203 Å, intensity 61
2.038 Å, intensity 36
1.809 Å, intensity 32
1.709 Å, intensity 36
1.580 Å, intensity 34
1.309 Å, intensity 20
1.304 Å, intensity 19

***

# 3
# Ba2Sb4Pt3Pb
Calculated XRD peak list, Cu Ka. Input: a PBE-relaxed structure.
Intensities are scaled so that the largest is 100.

Cell and atoms:
Cell lengths 4.9429, 4.9429, 11.0174 Å; angles 90.00, 90.00, 90.00 degrees
Fractional coordinates of all 10 atoms:
Ba: 0.0000 0.5000 0.2418
Ba: 0.5000 0.0000 0.7582
Sb: 0.0000 0.0000 0.0000
Sb: 0.0000 0.5000 0.6479
Sb: 0.5000 0.0000 0.3521
Sb: 0.5000 0.5000 0.0000
Pt: 0.0000 0.5000 0.8910
Pt: 0.5000 0.0000 0.1090
Pt: 0.5000 0.5000 0.5000
Pb: 0.0000 0.0000 0.5000

Principal peaks in the range 10 to 90 degrees two-theta, in order of rising 2θ:
5.509 Å, intensity 13
3.332 Å, intensity 11
2.950 Å, intensity 100
2.471 Å, intensity 57
2.164 Å, intensity 31
2.013 Å, intensity 10
1.894 Å, intensity 21
1.748 Å, intensity 20
1.626 Å, intensity 12
1.504 Å, intensity 22
1.359 Å, intensity 14
1.105 Å, intensity 10

***

# 4
# Ca2Hg13
Calculated XRD peak list, Cu Ka. Input: a PBE-relaxed structure.
Intensities are scaled so that the largest is 100.

Cell and atoms:
Cell lengths 8.8831, 8.8831, 8.8831 Å; angles 59.26, 59.26, 59.26 degrees
Fractional coordinates of all 15 atoms:
Ca: 0.2461 0.2461 0.2461
Ca: 0.7539 0.7539 0.7539
Hg: 0.0000 0.0000 0.0000
Hg: 0.0212 0.0212 0.6386
Hg: 0.0212 0.6386 0.0212
Hg: 0.2557 0.2557 0.6117
Hg: 0.2557 0.6117 0.2557
Hg: 0.3614 0.9788 0.9788
Hg: 0.3883 0.7443 0.7443
Hg: 0.6117 0.2557 0.2557
Hg: 0.6386 0.0212 0.0212
Hg: 0.7443 0.3883 0.7443
Hg: 0.7443 0.7443 0.3883
Hg: 0.9788 0.3614 0.9788
Hg: 0.9788 0.9788 0.3614

Principal peaks in the range 10 to 90 degrees two-theta, in order of rising 2θ:
7.294 Å, intensity 29
7.185 Å, intensity 46
4.441 Å, intensity 52
3.748 Å, intensity 62
2.850 Å, intensity 60
2.574 Å, intensity 47
2.545 Å, intensity 85
2.415 Å, intensity 66
2.395 Å, intensity 100
1.662 Å, intensity 31
1.471 Å, intensity 27
1.465 Å, intensity 38

***

# 5
# NaCa2AcF8
Calculated XRD peak list, Cu Ka. Input: a PBE-relaxed structure.
Intensities are scaled so that the largest is 100.

Cell and atoms:
Cell lengths 4.0704, 5.6871, 8.0310 Å; angles 90.00, 90.00, 90.00 degrees
Fractional coordinates of all 12 atoms:
Na: 0.0000 0.0000 0.0000
Ca: 0.5000 0.5000 0.2234
Ca: 0.5000 0.5000 0.7766
Ac: 0.0000 0.0000 0.5000
F: 0.0000 0.2637 0.2558
F: 0.0000 0.2637 0.7442
F: 0.0000 0.7363 0.2558
F: 0.0000 0.7363 0.7442
F: 0.5000 0.2587 0.5000
F: 0.5000 0.2597 0.0000
F: 0.5000 0.7403 0.0000
F: 0.5000 0.7413 0.5000

Principal peaks in the range 10 to 90 degrees two-theta, in order of rising 2θ:
8.031 Å, intensity 100
5.687 Å, intensity 29
4.641 Å, intensity 80
3.631 Å, intensity 46
3.310 Å, intensity 88
3.280 Å, intensity 86
3.060 Å, intensity 43
2.679 Å, intensity 27
2.238 Å, intensity 30
2.016 Å, intensity 90
1.729 Å, intensity 27
1.717 Å, intensity 37

***

# 6
# Zn2Cr2Cd
Calculated XRD peak list, Cu Ka. Input: a PBE-relaxed structure.
Intensities are scaled so that the largest is 100.

Cell and atoms:
Cell lengths 6.9986, 6.9986, 3.1543 Å; angles 90.00, 90.00, 90.00 degrees
Fractional coordinates of all 10 atoms:
Zn: 0.1938 0.3062 0.0000
Zn: 0.3062 0.8062 0.0000
Zn: 0.6938 0.1938 0.0000
Zn: 0.8062 0.6938 0.0000
Cr: 0.0964 0.5964 0.5000
Cr: 0.4036 0.0964 0.5000
Cr: 0.5964 0.9036 0.5000
Cr: 0.9036 0.4036 0.5000
Cd: 0.0000 0.0000 0.5000
Cd: 0.5000 0.5000 0.5000

Principal peaks in the range 10 to 90 degrees two-theta, in order of rising 2θ:
2.474 Å, intensity 38
2.343 Å, intensity 100
2.222 Å, intensity 52
2.213 Å, intensity 40
1.941 Å, intensity 16
1.812 Å, intensity 11
1.697 Å, intensity 15
1.577 Å, intensity 13
1.462 Å, intensity 15
1.330 Å, intensity 10
1.284 Å, intensity 13
1.259 Å, intensity 22

***

# 7
# K4Na4Cd
Calculated XRD peak list, Cu Ka. Input: a PBE-relaxed structure.
Intensities are scaled so that the largest is 100.

Cell and atoms:
Cell lengths 9.7324, 9.7324, 9.7324 Å; angles 134.40, 134.40, 66.46 degrees
Fractional coordinates of all 9 atoms:
K: 0.2015 0.2015 0.5918
K: 0.3903 0.7985 0.0000
K: 0.6097 0.6097 0.4082
K: 0.7985 0.3903 0.0000
Na: 0.0148 0.6482 0.0000
Na: 0.3518 0.3518 0.3666
Na: 0.6482 0.0148 0.0000
Na: 0.9852 0.9852 0.6334
Cd: 0.0000 0.0000 0.0000

Principal peaks in the range 10 to 90 degrees two-theta, in order of rising 2θ:
8.141 Å, intensity 56
6.844 Å, intensity 83
5.333 Å, intensity 57
4.461 Å, intensity 64
3.303 Å, intensity 100
3.236 Å, intensity 67
2.990 Å, intensity 44
2.865 Å, intensity 57
2.766 Å, intensity 62
2.667 Å, intensity 35
2.058 Å, intensity 29
1.760 Å, intensity 32

***

# 8
# Sr2USnSe5
Calculated XRD peak list, Cu Ka. Input: a PBE-relaxed structure.
Intensities are scaled so that the largest is 100.

Cell and atoms:
Cell lengths 9.3206, 9.3206, 14.3764 Å; angles 90.00, 90.00, 153.41 degrees
Fractional coordinates of all 18 atoms:
Sr: 0.0768 0.9232 0.5000
Sr: 0.1323 0.8677 0.1527
Sr: 0.8677 0.1323 0.6527
Sr: 0.9232 0.0768 0.0000
U: 0.2357 0.7643 0.8893
U: 0.7643 0.2357 0.3893
Sn: 0.4440 0.5560 0.2957
Sn: 0.5560 0.4440 0.7957
Se: 0.0854 0.9146 0.9243
Se: 0.2526 0.7474 0.5239
Se: 0.2879 0.7121 0.2598
Se: 0.3858 0.6142 0.8405
Se: 0.4917 0.5083 0.6098
Se: 0.5083 0.4917 0.1098
Se: 0.6142 0.3858 0.3405
Se: 0.7121 0.2879 0.7598
Se: 0.7474 0.2526 0.0239
Se: 0.9146 0.0854 0.4243

Principal peaks in the range 10 to 90 degrees two-theta, in order of rising 2θ:
7.188 Å, intensity 47
5.634 Å, intensity 30
3.608 Å, intensity 32
3.147 Å, intensity 100
2.959 Å, intensity 27
2.787 Å, intensity 29
2.723 Å, intensity 29
2.398 Å, intensity 32
2.368 Å, intensity 30
2.144 Å, intensity 32
2.119 Å, intensity 27
1.995 Å, intensity 27

***

# 9
# Ba2Na2Ca
Calculated XRD peak list, Cu Ka. Input: a PBE-relaxed structure.
Intensities are scaled so that the largest is 100.

Cell and atoms:
Cell lengths 9.8261, 9.8261, 10.2812 Å; angles 90.00, 90.00, 90.00 degrees
Fractional coordinates of all 20 atoms:
Ba: 0.1749 0.3185 0.0000
Ba: 0.1815 0.3251 0.5000
Ba: 0.3185 0.8251 0.0000
Ba: 0.3251 0.8185 0.5000
Ba: 0.6749 0.1815 0.5000
Ba: 0.6815 0.1749 0.0000
Ba: 0.8185 0.6749 0.5000
Ba: 0.8251 0.6815 0.0000
Na: 0.1228 0.6228 0.2500
Na: 0.1228 0.6228 0.7500
Na: 0.3772 0.1228 0.2500
Na: 0.3772 0.1228 0.7500
Na: 0.6228 0.8772 0.2500
Na: 0.6228 0.8772 0.7500
Na: 0.8772 0.3772 0.2500
Na: 0.8772 0.3772 0.7500
Ca: 0.0000 0.0000 0.2623
Ca: 0.0000 0.0000 0.7377
Ca: 0.5000 0.5000 0.2377
Ca: 0.5000 0.5000 0.7623

Principal peaks in the range 10 to 90 degrees two-theta, in order of rising 2θ:
5.141 Å, intensity 21
4.913 Å, intensity 18
4.394 Å, intensity 46
3.552 Å, intensity 52
3.340 Å, intensity 100
3.107 Å, intensity 27
2.383 Å, intensity 22
2.219 Å, intensity 16
2.162 Å, intensity 32
2.112 Å, intensity 21
1.748 Å, intensity 17
1.720 Å, intensity 16

***

# 10
# Ac3MgAg2Sn6
Calculated XRD peak list, Cu Ka. Input: a PBE-relaxed structure.
Intensities are scaled so that the largest is 100.

Cell and atoms:
Cell lengths 6.7551, 6.7551, 9.2290 Å; angles 90.00, 90.00, 120.00 degrees
Fractional coordinates of all 12 atoms:
Ac: 0.0000 0.0000 0.0000
Ac: 0.3333 0.6667 0.6174
Ac: 0.6667 0.3333 0.3826
Mg: 0.0000 0.0000 0.5000
Ag: 0.3333 0.6667 0.0072
Ag: 0.6667 0.3333 0.9928
Sn: 0.1853 0.3706 0.2780
Sn: 0.1853 0.8147 0.2780
Sn: 0.3706 0.1853 0.7220
Sn: 0.6294 0.8147 0.2780
Sn: 0.8147 0.1853 0.7220
Sn: 0.8147 0.6294 0.7220

Principal peaks in the range 10 to 90 degrees two-theta, in order of rising 2θ:
4.941 Å, intensity 29
3.623 Å, intensity 25
3.378 Å, intensity 51
3.076 Å, intensity 30
2.788 Å, intensity 100
2.725 Å, intensity 92
2.471 Å, intensity 51
2.274 Å, intensity 24
1.796 Å, intensity 31
1.689 Å, intensity 34
1.620 Å, intensity 23
1.597 Å, intensity 22

***

# 11
# Pr3Nd4Tl5
Calculated XRD peak list, Cu Ka. Input: a PBE-relaxed structure.
Intensities are scaled so that the largest is 100.

Cell and atoms:
Cell lengths 8.0977, 8.0977, 9.6630 Å; angles 116.20, 116.20, 43.95 degrees
Fractional coordinates of all 12 atoms:
Pr: 0.0000 0.0000 0.0000
Pr: 0.2511 0.2511 0.7167
Pr: 0.7489 0.7489 0.2833
Nd: 0.3193 0.3193 0.1270
Nd: 0.4269 0.4269 0.5957
Nd: 0.5731 0.5731 0.4043
Nd: 0.6807 0.6807 0.8730
Tl: 0.0342 0.0342 0.6855
Tl: 0.1878 0.1878 0.3388
Tl: 0.5000 0.5000 0.0000
Tl: 0.8122 0.8122 0.6612
Tl: 0.9658 0.9658 0.3145

Principal peaks in the range 10 to 90 degrees two-theta, in order of rising 2θ:
3.081 Å, intensity 26
3.030 Å, intensity 100
2.985 Å, intensity 30
2.955 Å, intensity 40
2.833 Å, intensity 27
2.805 Å, intensity 28
2.751 Å, intensity 28
2.654 Å, intensity 91
2.126 Å, intensity 24
2.115 Å, intensity 32
2.069 Å, intensity 22
1.667 Å, intensity 24

***

# 12
# LiEr5Bi6
Calculated XRD peak list, Cu Ka. Input: a PBE-relaxed structure.
Intensities are scaled so that the largest is 100.

Cell and atoms:
Cell lengths 7.6886, 7.6886, 7.6813 Å; angles 99.56, 99.56, 120.11 degrees
Fractional coordinates of all 12 atoms:
Li: 0.0000 0.0000 0.0000
Er: 0.1669 0.8331 0.5000
Er: 0.3327 0.6673 0.0000
Er: 0.5000 0.5000 0.5000
Er: 0.6673 0.3327 0.0000
Er: 0.8331 0.1669 0.5000
Bi: 0.0828 0.4122 0.2473
Bi: 0.2477 0.2477 0.7507
Bi: 0.4122 0.0828 0.2473
Bi: 0.5878 0.9172 0.7527
Bi: 0.7523 0.7523 0.2493
Bi: 0.9172 0.5878 0.7527

Principal peaks in the range 10 to 90 degrees two-theta, in order of rising 2θ:
3.626 Å, intensity 4
3.620 Å, intensity 4
3.137 Å, intensity 100
2.218 Å, intensity 78
1.892 Å, intensity 4
1.811 Å, intensity 28
1.568 Å, intensity 13
1.403 Å, intensity 25
1.402 Å, intensity 12
1.281 Å, intensity 21
1.280 Å, intensity 7
1.109 Å, intensity 8